The following is a simulated powder diffractogram of Ba5Na4Ni. It was derived from DFT lattice parameters and positions (PBE), using copper Kα.
Kinematic intensities with the Lorentz-polarization factor, no thermal factor.

```
data_Ba5Na4Ni
_chemical_formula_sum 'Ba10 Na8 Ni2'
_cell_length_a 12.6725
_cell_length_b 12.6725
_cell_length_c 6.1328
_cell_angle_alpha 90.00
_cell_angle_beta 90.00
_cell_angle_gamma 90.00
_space_group_name_H-M_alt 'I 4/m m m'
_space_group_IT_number 139
_space_group_name_Hall '-I 4 2'
loop_
_atom_site_label
_atom_site_type_symbol
_atom_site_fract_x
_atom_site_fract_y
_atom_site_fract_z
Ba1 Ba 0.0000 0.0000 0.0000
Ba2 Ba 0.1689 0.1689 0.5000
Na1 Na 0.0000 0.3478 0.0000
Ni1 Ni 0.0000 0.0000 0.5000
```

Top 12 peaks for 2θ from 15° to 90°, by angle:
(1 0 1), 2θ 16.06, intensity 18
(2 2 0), 2θ 19.82, intensity 19
(2 1 1), 2θ 21.35, intensity 16
(3 0 1), 2θ 25.61, intensity 100
(0 0 2), 2θ 29.12, intensity 26
(3 3 0), 2θ 29.91, intensity 47
(3 3 2), 2θ 42.24, intensity 36
(6 0 0), 2θ 42.82, intensity 17
(3 0 3), 2θ 49.54, intensity 16
(6 3 1), 2θ 50.56, intensity 30
(6 0 2), 2θ 52.62, intensity 19
(6 3 3), 2θ 67.51, intensity 12